[1]
The following is a calculated X-ray diffraction stick pattern of DyFe10B2. It was derived from a PBE-relaxed structure, using Cu Kα (λ = 1.5418 Å).
Intensities are scaled so that the largest is 100.

Top 10 peaks for 2θ from 5° to 70°, in order of rising 2θ:
2θ (°)  d/Å  I/Imax
31.44  2.846  25.1
37.28  2.412  27.5
39.20  2.298  30.9
39.54  2.279  51.0
41.53  2.175  47.9
44.40  2.040  35.3
45.28  2.003  26.1
45.59  1.990  100.0
45.71  1.985  40.2
46.09  1.969  49.7

Crystal structure
Cell: 6.147 6.147 7.874 Å, 90.00 90.00 96.80°
Element x y z (fractional)
Dy 0.115 0.885 0.750
Dy 0.885 0.115 0.250
Fe 0.112 0.403 0.750
Fe 0.167 0.833 0.094
Fe 0.167 0.833 0.406
Fe 0.233 0.233 0.000
Fe 0.233 0.233 0.500
Fe 0.242 0.472 0.250
Fe 0.387 0.613 0.574
Fe 0.387 0.613 0.926
Fe 0.403 0.112 0.250
Fe 0.472 0.242 0.750
Fe 0.528 0.758 0.250
Fe 0.597 0.888 0.750
Fe 0.613 0.387 0.074
Fe 0.613 0.387 0.426
Fe 0.758 0.528 0.750
Fe 0.767 0.767 0.000
Fe 0.767 0.767 0.500
Fe 0.833 0.167 0.594
Fe 0.833 0.167 0.906
Fe 0.888 0.597 0.250
B 0.000 0.500 0.000
B 0.000 0.500 0.500
B 0.500 0.000 0.000
B 0.500 0.000 0.500

***

[2]
The following is a calculated X-ray diffraction stick pattern of DyFeB14. It was derived from a PBE-relaxed structure, using Cu Kα (λ = 1.5418 Å).
Intensities are scaled so that the largest is 100.

Top 10 peaks for 2θ from 5° to 70°, in order of rising 2θ:
2θ (°)  d/Å  I/Imax
16.76  5.289  100.0
18.61  4.767  34.3
25.15  3.541  66.5
27.77  3.213  81.1
33.64  2.664  93.3
36.88  2.437  54.5
40.01  2.253  35.6
41.62  2.170  81.7
54.72  1.677  24.9
57.36  1.606  23.4

Crystal structure
Cell: 7.318 7.318 7.318 Å, 132.99 87.44 111.27°
Element x y z (fractional)
Dy 0.382 0.132 0.250
Dy 0.618 0.868 0.750
Fe 0.000 0.000 0.500
Fe 0.000 0.500 0.000
B 0.005 0.870 0.136
B 0.033 0.205 0.332
B 0.033 0.701 0.828
B 0.081 0.669 0.412
B 0.201 0.535 0.667
B 0.222 0.500 0.399
B 0.222 0.822 0.721
B 0.234 0.870 0.364
B 0.243 0.331 0.912
B 0.368 0.535 0.833
B 0.373 0.205 0.672
B 0.373 0.701 0.168
B 0.399 0.178 0.899
B 0.399 0.500 0.221
B 0.601 0.500 0.779
B 0.601 0.822 0.101
B 0.627 0.299 0.832
B 0.627 0.795 0.328
B 0.632 0.465 0.167
B 0.757 0.669 0.088
B 0.766 0.130 0.636
B 0.778 0.178 0.279
B 0.778 0.500 0.601
B 0.799 0.465 0.333
B 0.919 0.331 0.588
B 0.967 0.299 0.172
B 0.967 0.795 0.668
B 0.995 0.130 0.864

***

[3]
The following is a calculated X-ray diffraction stick pattern of DyFe3B. It was derived from a PBE-relaxed structure, using Cu Kα (λ = 1.5418 Å).
Intensities are scaled so that the largest is 100.

Top 7 peaks for 2θ from 5° to 70°, in order of rising 2θ:
2θ (°)  d/Å  I/Imax
22.19  4.006  23.7
31.59  2.833  28.9
38.94  2.313  100.0
45.27  2.003  52.6
50.98  1.791  11.9
56.25  1.635  11.7
65.96  1.416  32.4

Crystal structure
Cell: 4.006 4.006 4.006 Å, 90.00 90.00 90.00°
Element x y z (fractional)
Dy 0.000 0.000 0.000
Fe 0.000 0.500 0.500
Fe 0.500 0.000 0.500
Fe 0.500 0.500 0.000
B 0.500 0.500 0.500